For CaAcEr2Se4, a GGA-PBE-relaxed structure gives the simulated X-ray diffraction stick pattern in this record (Cu Kα, 1.54184 Å).
Kinematic intensities with the Lorentz-polarization factor, no thermal factor.

Principal peaks in the range 10° ≤ 2θ ≤ 90°, most intense first:
(hkl)  2θ (°)  d [Å]  I (rel.)
1 1 1  30.15  2.964  100
3 1 -1  43.23  2.093  25
1 1 -3  43.12  2.098  24
2 2 -2  53.94  1.700  13
2 0 2  42.71  2.117  12
0 2 0  43.60  2.076  12
4 0 -4  62.70  1.482  12
5 1 -3  71.22  1.324  11
3 1 -5  71.06  1.327  11
1 0 0  12.85  6.887  10

Structure:
Unit cell a=7.271 b=4.151 c=7.294 alpha=90.00 beta=108.90 gamma=90.00
Positions (direct):
Ca  0.000  0.000  0.000
Ac  0.500  0.500  0.000
Er  0.000  0.500  0.500
Er  0.500  0.000  0.500
Se  0.232  0.000  0.727
Se  0.246  0.500  0.267
Se  0.754  0.500  0.733
Se  0.768  0.000  0.273